This entry pairs a crystal structure of CdAu2Cl8 with its simulated XRD peak list. Radiation: Cu Kα (λ = 1.5418 Å). Structure: a structure optimized by DFT (GGA-PBE).
Lines closer than 0.1° are merged.

Peak list (10 most intense, 2θ from 10° to 80°, low angle first)
2θ (°)  d (Å)  I/Imax
13.7  6.472  61
13.9  6.388  100
19.4  4.573  85
20.3  4.373  70
25.7  3.465  55
26.9  3.314  35
27.6  3.233  37
33.2  2.699  47
38.4  2.344  32
39.7  2.269  37

Cell and atoms:
```
22
Lattice="8.578 -3.729 0.000 8.578 3.729 0.000 -8.156 0.000 9.376" Properties=species:S:1:pos:R:3 pbc="T T T"
Cd 2.461 1.955 7.032
Cd 6.539 -1.955 2.344
Au 1.267 0.673 3.391
Au -2.811 -0.673 8.079
Au 11.811 0.673 1.297
Au 7.733 -0.673 5.985
Cl -0.005 2.267 8.002
Cl -0.910 0.051 4.019
Cl 3.377 1.390 2.817
Cl -4.988 -0.051 8.707
Cl 4.928 2.267 6.062
Cl 6.163 0.131 0.728
Cl 2.084 -0.131 5.416
Cl 9.702 1.390 1.871
Cl -0.701 -1.390 7.505
Cl 6.916 0.131 3.960
Cl 2.838 -0.131 8.648
Cl 4.073 -2.267 3.314
Cl 13.989 0.051 0.670
Cl 5.624 -1.390 6.559
Cl 9.911 -0.051 5.358
Cl 9.006 -2.267 1.374
```